Record 1
For NdDyY5Th2, a GGA-PBE-relaxed structure gives the calculated powder XRD pattern in this record (λ = 1.5418 Å (Cu Kα)).

The 10 most intense peaks (2θ = 5–70°), by angle:
2theta  I_rel  index
22.86  239  0 0 4
23.31  312  2 1 1
28.48  949  2 1 3
28.71  507  2 2 0
30.68  1000  2 0 4
32.19  238  3 1 0
36.83  309  2 1 5
37.32  418  3 2 1
42.75  453  4 0 2
52.11  217  4 2 4

Unit cell a=8.7945 b=8.7945 c=15.5621 alpha=90.00 beta=90.00 gamma=90.00
Space group I4/mcm (No. 140)
Asymmetric unit:
Nd (0.0000, 0.5000, 0.2500) [4 per cell]
Dy (0.0000, 0.0000, 0.2500) [4 per cell]
Y (0.0000, 0.0000, 0.0000) [4 per cell]
Y (0.2079, 0.2921, 0.1386) [16 per cell]
Th (0.1189, 0.3811, 0.5000) [8 per cell]

***

Record 2
For Nd2Dy5Tl, a GGA-PBE-relaxed structure gives the calculated powder XRD pattern in this record (λ = 1.5418 Å (Cu Kα)).

The 10 most intense peaks (2θ = 5–70°), by angle:
2theta  I_rel  index
29.19  274  3 1 -2
30.19  981  2 2 0
32.49  1000  2 2 -2
32.95  331  1 3 0
33.40  915  0 0 2
34.74  275  3 1 0
41.75  214  0 4 0
53.00  353  5 3 -2
60.52  438  2 2 -4
63.86  254  3 5 0

Unit cell a=10.8148 b=8.6534 c=7.1486 alpha=90.00 beta=131.36 gamma=90.00
Space group Cm (No. 8)
Asymmetric unit:
Nd (0.0000, 0.0000, 0.0000) [2 per cell]
Nd (0.0920, 0.5000, 0.5909) [2 per cell]
Dy (0.1252, 0.5000, 0.1238) [2 per cell]
Dy (0.3077, 0.2024, 0.0498) [4 per cell]
Dy (0.3080, 0.2025, 0.5642) [4 per cell]
Tl (0.0256, 0.0000, 0.5250) [2 per cell]

***

Record 3
For Nd6DyTl3, a GGA-PBE-relaxed structure gives the calculated powder XRD pattern in this record (λ = 1.5418 Å (Cu Kα)).

The 10 most intense peaks (2θ = 5–70°), by angle:
2theta  I_rel  index
28.45  99  0 1 3
29.54  118  1 0 -4
30.76  187  2 0 -4
31.13  448  3 1 -1
31.78  267  3 1 -2
32.38  1000  0 2 0
45.29  130  2 2 -4
57.02  83  3 3 -1
57.79  123  1 3 3
65.09  98  6 2 -3

Unit cell a=10.1033 b=5.5240 c=12.1003 alpha=90.00 beta=109.07 gamma=90.00
Space group P2_1/m (No. 11)
Asymmetric unit:
Nd (0.0329, 0.2500, 0.4034) [2 per cell]
Nd (0.0626, 0.7500, 0.1432) [2 per cell]
Nd (0.2956, 0.2500, 0.2617) [2 per cell]
Nd (0.3027, 0.2500, 0.9707) [2 per cell]
Nd (0.3646, 0.7500, 0.7641) [2 per cell]
Nd (0.4397, 0.2500, 0.5791) [2 per cell]
Dy (0.4041, 0.7500, 0.1209) [2 per cell]
Tl (0.1088, 0.7500, 0.8847) [2 per cell]
Tl (0.1689, 0.2500, 0.6881) [2 per cell]
Tl (0.2369, 0.7500, 0.4427) [2 per cell]